Record 1
Computed X-ray powder pattern
Compound: La8Nd2Sc3
Radiation: Cu Kα X-rays
Structure: a cell relaxed with GGA-PBE

Cell and atoms:
Cell lengths 8.9427, 8.9427, 6.0586 Å; angles 106.98, 106.98, 81.22 degrees
Atoms (fractional coordinates):
La: 0.0823 0.0823 0.2488
La: 0.1097 0.5800 0.8521
La: 0.3644 0.3644 0.3835
La: 0.4200 0.8903 0.1479
La: 0.5800 0.1097 0.8521
La: 0.6356 0.6356 0.6165
La: 0.8903 0.4200 0.1479
La: 0.9177 0.9177 0.7512
Nd: 0.1839 0.1839 0.8211
Nd: 0.8161 0.8161 0.1789
Sc: 0.2345 0.7655 0.5000
Sc: 0.5000 0.5000 0.0000
Sc: 0.7655 0.2345 0.5000

Peak list (8 most intense, 2θ = 10–80°, in order of falling intensity)
two_theta  intensity
30.91  100.0
30.72  42.5
29.50  36.3
32.22  19.9
39.12  15.7
54.74  13.8
38.04  11.2
28.49  11.0

---

Record 2
Computed X-ray powder pattern
Compound: La6NdSc2
Radiation: Cu Kα X-rays
Structure: a cell relaxed with GGA-PBE

Cell and atoms:
Cell lengths 6.2845, 6.2845, 8.8701 Å; angles 90.00, 90.00, 120.95 degrees
Atoms (fractional coordinates):
La: 0.1642 0.3440 0.6542
La: 0.1695 0.8305 0.0000
La: 0.3440 0.1642 0.3458
La: 0.6560 0.8358 0.3458
La: 0.8305 0.1695 0.0000
La: 0.8358 0.6560 0.6542
Nd: 0.5000 0.5000 0.0000
Sc: 0.0000 0.5000 0.3233
Sc: 0.5000 0.0000 0.6767

Peak list (8 most intense, 2θ = 10–80°, in order of falling intensity)
two_theta  intensity
30.20  100.0
35.00  47.4
30.58  39.3
35.35  20.2
28.41  14.0
67.52  13.9
51.93  13.4
55.16  12.6